Entry 1:
Structure and computed X-ray diffraction stick pattern of Fe2Ag (a PBE-relaxed structure; Cu Kα, 1.54184 Å).
Intensities are scaled so that the largest is 100.

Largest 10 diffraction maxima, by intensity, 2θ = 10–80°:
| 2theta | I/Imax |
| --- | --- |
| 41.97 | 100 |
| 41.27 | 98 |
| 43.69 | 92 |
| 79.53 | 25 |
| 35.50 | 25 |
| 78.12 | 22 |
| 74.50 | 22 |
| 43.23 | 17 |
| 42.90 | 15 |
| 64.53 | 14 |

Structural model:
```
data_Fe2Ag
_chemical_formula_sum 'Fe8 Ag4'
_symmetry_space_group_name_H-M 'P 1'
_symmetry_Int_Tables_number 1
_symmetry_space_group_name_Hall 'P 1'
_cell_length_a 6.459
_cell_length_b 2.888
_cell_length_c 8.922
_cell_angle_alpha 90.00
_cell_angle_beta 90.00
_cell_angle_gamma 90.00
loop_
_atom_site_label
_atom_site_type_symbol
_atom_site_fract_x
_atom_site_fract_y
_atom_site_fract_z
Fe1 Fe 0.090 0.250 0.103
Fe2 Fe 0.130 0.250 0.735
Fe3 Fe 0.370 0.750 0.235
Fe4 Fe 0.410 0.750 0.603
Fe5 Fe 0.590 0.250 0.397
Fe6 Fe 0.630 0.250 0.765
Fe7 Fe 0.870 0.750 0.265
Fe8 Fe 0.910 0.750 0.897
Ag1 Ag 0.152 0.250 0.425
Ag2 Ag 0.348 0.750 0.925
Ag3 Ag 0.652 0.250 0.075
Ag4 Ag 0.848 0.750 0.575
```

Entry 2:
Structure and computed X-ray diffraction stick pattern of GdThFeAg (a PBE-relaxed structure; Cu Kα, 1.54184 Å).
Intensities are scaled so that the largest is 100.

Largest 10 diffraction maxima, by intensity, 2θ = 10–80°:
| 2theta | I/Imax |
| --- | --- |
| 35.36 | 100 |
| 63.48 | 36 |
| 50.88 | 18 |
| 24.80 | 17 |
| 74.81 | 11 |
| 57.40 | 8 |
| 21.44 | 6 |
| 43.68 | 5 |
| 41.73 | 3 |
| 55.82 | 1 |

Structural model:
```
data_GdThFeAg
_chemical_formula_sum 'Gd1 Th1 Fe1 Ag1'
_symmetry_space_group_name_H-M 'P 1'
_symmetry_Int_Tables_number 1
_symmetry_space_group_name_Hall 'P 1'
_cell_length_a 5.076
_cell_length_b 5.076
_cell_length_c 5.076
_cell_angle_alpha 60.00
_cell_angle_beta 60.00
_cell_angle_gamma 60.00
loop_
_atom_site_label
_atom_site_type_symbol
_atom_site_fract_x
_atom_site_fract_y
_atom_site_fract_z
Gd1 Gd 0.000 0.000 0.000
Th1 Th 0.500 0.500 0.500
Fe1 Fe 0.750 0.750 0.750
Ag1 Ag 0.250 0.250 0.250
```

Entry 3:
Structure and computed X-ray diffraction stick pattern of K2FeAgH6 (a PBE-relaxed structure; Cu Kα, 1.54184 Å).
Intensities are scaled so that the largest is 100.

Largest 10 diffraction maxima, by intensity, 2θ = 10–80°:
| 2theta | I/Imax |
| --- | --- |
| 31.46 | 100 |
| 31.63 | 99 |
| 34.67 | 43 |
| 34.42 | 39 |
| 54.08 | 32 |
| 49.66 | 30 |
| 40.40 | 28 |
| 19.88 | 28 |
| 24.24 | 26 |
| 19.74 | 18 |

Structural model:
```
data_K2FeAgH6
_chemical_formula_sum 'K2 Fe1 Ag1 H6'
_symmetry_space_group_name_H-M 'P 1'
_symmetry_Int_Tables_number 1
_symmetry_space_group_name_Hall 'P 1'
_cell_length_a 5.766
_cell_length_b 5.766
_cell_length_c 5.174
_cell_angle_alpha 116.27
_cell_angle_beta 116.27
_cell_angle_gamma 53.73
loop_
_atom_site_label
_atom_site_type_symbol
_atom_site_fract_x
_atom_site_fract_y
_atom_site_fract_z
K1 K 0.250 0.250 0.249
K2 K 0.750 0.750 0.751
Fe1 Fe 0.500 0.500 0.000
Ag1 Ag 0.000 0.000 0.500
H1 H 0.264 0.728 0.769
H2 H 0.272 0.736 0.231
H3 H 0.319 0.319 0.812
H4 H 0.681 0.681 0.188
H5 H 0.728 0.264 0.769
H6 H 0.736 0.272 0.231
```

Entry 4:
Structure and computed X-ray diffraction stick pattern of LaFeAgH6 (a PBE-relaxed structure; Cu Kα, 1.54184 Å).
Intensities are scaled so that the largest is 100.

Largest 10 diffraction maxima, by intensity, 2θ = 10–80°:
| 2theta | I/Imax |
| --- | --- |
| 30.00 | 100 |
| 38.13 | 47 |
| 57.63 | 28 |
| 49.25 | 25 |
| 63.94 | 22 |
| 41.52 | 12 |
| 68.69 | 9 |
| 21.74 | 9 |
| 68.90 | 8 |
| 47.34 | 3 |

Structural model:
```
data_LaFeAgH6
_chemical_formula_sum 'La1 Fe1 Ag1 H6'
_symmetry_space_group_name_H-M 'P 1'
_symmetry_Int_Tables_number 1
_symmetry_space_group_name_Hall 'P 1'
_cell_length_a 4.721
_cell_length_b 4.721
_cell_length_c 4.350
_cell_angle_alpha 90.00
_cell_angle_beta 90.00
_cell_angle_gamma 120.00
loop_
_atom_site_label
_atom_site_type_symbol
_atom_site_fract_x
_atom_site_fract_y
_atom_site_fract_z
La1 La 0.000 0.000 0.000
Fe1 Fe 0.667 0.333 0.500
Ag1 Ag 0.333 0.667 0.500
H1 H 0.528 0.056 0.238
H2 H 0.528 0.056 0.762
H3 H 0.528 0.472 0.238
H4 H 0.528 0.472 0.762
H5 H 0.944 0.472 0.238
H6 H 0.944 0.472 0.762
```